No. 1
Calculated powder X-ray diffraction pattern of K3Ni2O4 for Cu Kα, 1.54184 Å, from a structure optimized by DFT (GGA+U).
No peak broadening, texture or thermal motion is included.

Cell: 5.4966 5.4966 10.7078 Å, 90.00 90.00 112.29°
Atoms (fractional coordinates):
1 K 0.1499 0.8501 0.5725
2 K 0.1499 0.8501 0.9275
3 K 0.2023 0.7977 0.2500
4 K 0.7977 0.2023 0.7500
5 K 0.8501 0.1499 0.0725
6 K 0.8501 0.1499 0.4275
7 Ni 0.4341 0.5659 0.7500
8 Ni 0.5000 0.5000 0.0000
9 Ni 0.5000 0.5000 0.5000
10 Ni 0.5659 0.4341 0.2500
11 O 0.2319 0.3645 0.6156
12 O 0.2319 0.3645 0.8844
13 O 0.3645 0.2319 0.1156
14 O 0.3645 0.2319 0.3844
15 O 0.6355 0.7681 0.6156
16 O 0.6355 0.7681 0.8844
17 O 0.7681 0.6355 0.1156
18 O 0.7681 0.6355 0.3844

Peak list (8 most intense, 2θ from 15° to 90°, most intense first)
32.86 deg, I = 1000
17.44 deg, I = 818
43.71 deg, I = 658
29.16 deg, I = 656
33.94 deg, I = 549
19.45 deg, I = 442
30.60 deg, I = 427
21.16 deg, I = 395

No. 2
Calculated powder X-ray diffraction pattern of KNiP3O9 for Cu Kα, 1.54184 Å, from a structure optimized by DFT (GGA+U).
No peak broadening, texture or thermal motion is included.

Cell: 6.3585 6.3585 6.3585 Å, 107.10 107.10 107.10°
Atoms (fractional coordinates):
1 K 0.0000 0.0000 0.0000
2 Ni 0.5079 0.5079 0.5079
3 P 0.4043 0.9860 0.5388
4 P 0.5388 0.4043 0.9860
5 P 0.9860 0.5388 0.4043
6 O 0.1290 0.7835 0.3788
7 O 0.1455 0.4090 0.4474
8 O 0.3788 0.1290 0.7835
9 O 0.4090 0.4474 0.1455
10 O 0.4474 0.1455 0.4090
11 O 0.5740 0.8713 0.6049
12 O 0.6049 0.5740 0.8713
13 O 0.7835 0.3788 0.1290
14 O 0.8713 0.6049 0.5740

Peak list (8 most intense, 2θ from 15° to 90°, most intense first)
17.34 deg, I = 1000
16.04 deg, I = 682
32.41 deg, I = 569
44.93 deg, I = 299
23.71 deg, I = 277
30.27 deg, I = 248
29.52 deg, I = 214
36.98 deg, I = 181

No. 3
Calculated powder X-ray diffraction pattern of K4NiP6O25 for Cu Kα, 1.54184 Å, from a structure optimized by DFT (GGA+U).
No peak broadening, texture or thermal motion is included.

Cell: 12.8669 7.4335 11.8229 Å, 80.34 34.72 64.94°
Atoms (fractional coordinates):
1 K 0.1053 0.8947 0.1053
2 K 0.4256 0.4256 0.0744
3 K 0.8947 0.1053 0.8947
4 K 0.9256 0.9256 0.5744
5 Ni 0.4071 0.4071 0.5929
6 P 0.0419 0.4168 0.1920
7 P 0.4168 0.0419 0.3494
8 P 0.4484 0.8964 0.1036
9 P 0.6506 0.8080 0.5832
10 P 0.8080 0.6506 0.9581
11 P 0.8964 0.4484 0.5516
12 O 0.0013 0.3196 0.3524
13 O 0.0299 0.5319 0.4681
14 O 0.0502 0.2823 0.1013
15 O 0.1318 0.5087 0.8682
16 O 0.2257 0.4544 0.0404
17 O 0.2823 0.0502 0.5662
18 O 0.2950 0.6867 0.7050
19 O 0.3139 0.8381 0.1619
20 O 0.3196 0.0013 0.3267
21 O 0.3428 0.5061 0.4939
22 O 0.4338 0.8987 0.7177
23 O 0.4544 0.2257 0.2794
24 O 0.5061 0.3428 0.6572
25 O 0.5087 0.1318 0.4913
26 O 0.5319 0.0299 0.9701
27 O 0.6476 0.6733 0.9987
28 O 0.6480 0.8264 0.1736
29 O 0.6733 0.6476 0.6804
30 O 0.6867 0.2950 0.3133
31 O 0.7206 0.9596 0.5456
32 O 0.8264 0.6480 0.3520
33 O 0.8381 0.3139 0.6861
34 O 0.8903 0.8903 0.1097
35 O 0.8987 0.4338 0.9498
36 O 0.9596 0.7206 0.7743

Peak list (8 most intense, 2θ from 15° to 90°, most intense first)
28.28 deg, I = 1000
17.99 deg, I = 779
31.57 deg, I = 706
21.15 deg, I = 537
24.29 deg, I = 529
16.02 deg, I = 405
24.06 deg, I = 394
32.02 deg, I = 360

No. 4
Calculated powder X-ray diffraction pattern of KNiPO10 for Cu Kα, 1.54184 Å, from a structure optimized by DFT (GGA+U).
No peak broadening, texture or thermal motion is included.

Cell: 6.4333 9.6279 7.3122 Å, 90.00 92.91 90.00°
Atoms (fractional coordinates):
1 K 0.1464 0.0000 0.3319
2 K 0.8536 0.5000 0.6681
3 Ni 0.1424 0.6382 0.0655
4 Ni 0.8576 0.1382 0.9345
5 P 0.0500 0.8739 0.7780
6 P 0.9500 0.3739 0.2220
7 O 0.0027 0.9595 0.9520
8 O 0.0090 0.7425 0.2204
9 O 0.0535 0.7174 0.8268
10 O 0.1002 0.4049 0.3886
11 O 0.2522 0.9253 0.6932
12 O 0.3937 0.6485 0.4880
13 O 0.4186 0.5466 0.9979
14 O 0.4203 0.7625 0.0934
15 O 0.4610 0.2205 0.4489
16 O 0.4625 0.1577 0.9617
17 O 0.5375 0.6577 0.0383
18 O 0.5390 0.7205 0.5511
19 O 0.5797 0.2625 0.9066
20 O 0.5814 0.0466 0.0021
21 O 0.6063 0.1485 0.5120
22 O 0.7478 0.4253 0.3068
23 O 0.8998 0.9049 0.6114
24 O 0.9465 0.2174 0.1732
25 O 0.9910 0.2425 0.7796
26 O 0.9973 0.4595 0.0480

Peak list (8 most intense, 2θ from 15° to 90°, most intense first)
16.59 deg, I = 1000
20.17 deg, I = 638
30.73 deg, I = 600
30.22 deg, I = 591
21.01 deg, I = 565
26.10 deg, I = 559
22.12 deg, I = 534
25.82 deg, I = 368